This entry pairs a crystal structure of Tl2Ga17 with its theoretical powder diffraction line list. Radiation: Cu Kα, 1.54184 Å. Structure: a PBE-relaxed structure.
Kinematic intensities with the Lorentz-polarization factor, no thermal factor.

Principal peaks in the range 2θ = 15–90°, in order of rising 2θ:
hkl	2θ (°)	intensity
1 1 3	26.0	21
3 0 0	32.0	26
0 2 4	32.7	26
2 2 0	37.1	100
0 0 6	37.2	17
2 0 5	37.7	29
2 2 6	53.5	17
4 4 0	79.1	13

Structural model:
a = 9.6887 Å, b = 9.6887 Å, c = 14.4939 Å
α = 90.00°, β = 90.00°, γ = 120.00°
Space group R-3m (No. 166, hexagonal axes)
Asymmetric unit:
Tl1 0.0000 0.0000 0.1568 (multiplicity 6)
Ga1 0.0000 0.0000 0.3959 (multiplicity 6)
Ga2 0.0000 0.2935 0.5000 (multiplicity 18)
Ga3 0.0000 0.5000 0.0000 (multiplicity 9)
Ga4 0.0094 0.5047 0.6410 (multiplicity 18)